For Ho6PdRu, a cell relaxed with GGA-PBE gives the theoretical powder X-ray diffraction pattern in this record (Cu Kα, 1.54184 Å).

Crystal structure
Cell lengths 6.4175, 6.4175, 6.7117 Å; angles 99.68, 99.68, 116.94 degrees
Positions (direct):
Ho: 0.0616 0.4138 0.2425
Ho: 0.2513 0.2513 0.7587
Ho: 0.4138 0.0616 0.2425
Ho: 0.5862 0.9384 0.7575
Ho: 0.7487 0.7487 0.2413
Ho: 0.9384 0.5862 0.7575
Pd: 0.5000 0.5000 0.5000
Ru: 0.0000 0.0000 0.0000

Peak list (12 most intense, 15 to 90 degrees two-theta, sorted by position)
2θ/deg  I_rel
28.1  66.4
29.5  58.1
32.8  59.3
33.6  100.0
46.5  20.0
47.7  74.9
50.0  15.8
56.0  18.5
58.1  22.5
61.1  17.2
78.8  16.9
87.1  19.3